Structure and theoretical powder diffractogram of BaPrO3 (a structure optimized by DFT (PBE); a wavelength of 1.5418 Å).
No peak broadening, texture or thermal motion is included.

Structural model:
```
BaPrO3
1.0
3.2463 1.8742 5.1996
-3.2463 1.8742 5.1996
0.0000 -3.7485 5.1996
Ba Pr O
2 2 6
Direct
0.2500 0.2500 0.2500
0.7500 0.7500 0.7500
0.0000 0.0000 0.0000
0.5000 0.5000 0.5000
0.1631 0.7500 0.3369
0.2500 0.6631 0.8369
0.3369 0.1631 0.7500
0.6631 0.8369 0.2500
0.7500 0.3369 0.1631
0.8369 0.2500 0.6631
```

Largest 10 diffraction maxima, in order of rising 2θ, 2θ = 10–90°:
- 27.48 deg, rel. 96
- 27.84 deg, rel. 100
- 39.52 deg, rel. 53
- 48.58 deg, rel. 27
- 48.80 deg, rel. 45
- 49.48 deg, rel. 21
- 56.71 deg, rel. 15
- 57.52 deg, rel. 17
- 64.34 deg, rel. 18
- 64.90 deg, rel. 19


Structure and theoretical powder diffractogram of GdGa3 (a structure optimized by DFT (PBE); a wavelength of 1.5418 Å).
No peak broadening, texture or thermal motion is included.

Structural model:
```
GdGa3
1.0
6.3173 0.0000 0.0000
-3.1587 5.4710 0.0000
0.0000 0.0000 4.5928
Gd Ga
2 6
Direct
0.3333 0.6667 0.2500
0.6667 0.3333 0.7500
0.1474 0.2948 0.7500
0.1474 0.8526 0.7500
0.2948 0.1474 0.2500
0.7052 0.8526 0.7500
0.8526 0.1474 0.2500
0.8526 0.7052 0.2500
```

Largest 10 diffraction maxima, in order of rising 2θ, 2θ = 10–90°:
- 25.32 deg, rel. 23
- 28.25 deg, rel. 9
- 32.74 deg, rel. 25
- 38.30 deg, rel. 100
- 39.23 deg, rel. 22
- 51.99 deg, rel. 13
- 58.44 deg, rel. 17
- 70.49 deg, rel. 16
- 72.05 deg, rel. 12
- 72.66 deg, rel. 17


Structure and theoretical powder diffractogram of PdC2N2 (a structure optimized by DFT (PBE); a wavelength of 1.5418 Å).
No peak broadening, texture or thermal motion is included.

Structural model:
```
PdC2N2
1.0
6.6350 0.0000 0.0000
0.0000 6.6350 0.0000
0.0000 0.0000 3.5724
Pd C N
2 4 4
Direct
0.0000 0.0000 0.0000
0.5000 0.5000 0.5000
0.2112 0.2112 0.0000
0.2888 0.7112 0.5000
0.7112 0.2888 0.5000
0.7888 0.7888 0.0000
0.1629 0.8371 0.5000
0.3371 0.3371 0.0000
0.6629 0.6629 0.0000
0.8371 0.1629 0.5000
```

Largest 10 diffraction maxima, in order of rising 2θ, 2θ = 10–90°:
- 18.92 deg, rel. 100
- 26.87 deg, rel. 17
- 28.37 deg, rel. 51
- 38.37 deg, rel. 19
- 39.48 deg, rel. 52
- 43.11 deg, rel. 14
- 48.41 deg, rel. 17
- 55.01 deg, rel. 11
- 56.23 deg, rel. 17
- 63.39 deg, rel. 14


Structure and theoretical powder diffractogram of NbSe2 (a structure optimized by DFT (PBE); a wavelength of 1.5418 Å).
No peak broadening, texture or thermal motion is included.

Structural model:
```
NbSe2
1.0
1.7457 1.0079 6.9675
-1.7457 1.0079 6.9675
0.0000 -2.0158 6.9675
Nb Se
1 2
Direct
0.0000 0.0000 0.0000
0.5860 0.5860 0.5860
0.7472 0.7472 0.7472
```

Largest 10 diffraction maxima, in order of rising 2θ, 2θ = 10–90°:
- 12.71 deg, rel. 100
- 29.86 deg, rel. 54
- 30.78 deg, rel. 27
- 34.26 deg, rel. 51
- 36.68 deg, rel. 79
- 42.55 deg, rel. 59
- 45.90 deg, rel. 30
- 52.41 deg, rel. 46
- 77.40 deg, rel. 28
- 88.76 deg, rel. 15


Structure and theoretical powder diffractogram of MgSc2S4 (a structure optimized by DFT (PBE); a wavelength of 1.5418 Å).
No peak broadening, texture or thermal motion is included.

Structural model:
```
MgSc2S4
1.0
6.8693 0.0000 0.0000
-0.0073 7.9428 0.0000
-1.1497 -1.9828 12.4670
Mg Sc S
4 8 16
Direct
0.1325 0.1993 0.2991
0.2493 0.3751 0.0016
0.7507 0.6249 0.9984
0.8675 0.8007 0.7009
0.1375 0.7009 0.3014
0.2413 0.8763 0.9996
0.3678 0.5536 0.6998
0.3686 0.0462 0.6978
0.6314 0.9538 0.3022
0.6322 0.4464 0.3002
0.7587 0.1237 0.0004
0.8625 0.2991 0.6986
0.1003 0.1486 0.1042
0.1033 0.6544 0.1076
0.1878 0.7821 0.6280
0.1886 0.2823 0.6296
0.3117 0.4667 0.3699
0.3115 0.9689 0.3717
0.3955 0.6011 0.8939
0.4025 0.0937 0.8928
0.5975 0.9063 0.1072
0.6045 0.3989 0.1061
0.6885 0.0311 0.6283
0.6883 0.5333 0.6301
0.8114 0.7177 0.3704
0.8122 0.2179 0.3720
0.8967 0.3456 0.8924
0.8997 0.8514 0.8958
```

Largest 10 diffraction maxima, in order of rising 2θ, 2θ = 10–90°:
- 21.38 deg, rel. 73
- 26.03 deg, rel. 45
- 26.37 deg, rel. 79
- 27.65 deg, rel. 31
- 30.94 deg, rel. 37
- 32.33 deg, rel. 52
- 40.91 deg, rel. 28
- 45.72 deg, rel. 100
- 49.17 deg, rel. 66
- 51.00 deg, rel. 35


Structure and theoretical powder diffractogram of CuPtO2 (a structure optimized by DFT (PBE); a wavelength of 1.5418 Å).
No peak broadening, texture or thermal motion is included.

Structural model:
```
CuPtO2
1.0
2.9842 0.0000 0.0000
0.0000 3.1418 0.0000
0.0000 0.0000 5.3049
Cu Pt O
1 1 2
Direct
0.0000 0.0000 0.0000
0.5000 0.5000 0.5000
0.5000 0.0000 0.2480
0.5000 0.0000 0.7520
```

Largest 10 diffraction maxima, in order of rising 2θ, 2θ = 10–90°:
- 16.71 deg, rel. 55
- 29.94 deg, rel. 23
- 33.14 deg, rel. 100
- 33.79 deg, rel. 36
- 34.48 deg, rel. 89
- 41.75 deg, rel. 41
- 45.26 deg, rel. 19
- 54.75 deg, rel. 58
- 69.96 deg, rel. 23
- 72.34 deg, rel. 21


Structure and theoretical powder diffractogram of PrZnGa (a structure optimized by DFT (PBE); a wavelength of 1.5418 Å).
No peak broadening, texture or thermal motion is included.

Structural model:
```
PrZnGa
1.0
4.5099 0.0000 0.0000
-2.2549 3.9057 0.0000
0.0000 0.0000 7.7682
Pr Zn Ga
2 2 2
Direct
0.0000 0.0000 0.0000
0.0000 0.0000 0.5000
0.3333 0.6667 0.2500
0.6667 0.3333 0.7500
0.3333 0.6667 0.7500
0.6667 0.3333 0.2500
```

Largest 10 diffraction maxima, in order of rising 2θ, 2θ = 10–90°:
- 22.77 deg, rel. 13
- 32.51 deg, rel. 100
- 39.98 deg, rel. 51
- 46.78 deg, rel. 11
- 52.44 deg, rel. 26
- 63.19 deg, rel. 26
- 67.93 deg, rel. 23
- 72.62 deg, rel. 8
- 77.70 deg, rel. 8
- 86.28 deg, rel. 5